Ti4CN2: calculated powder diffraction line list (Cu Kα, 1.54184 Å), based on a cell relaxed with GGA-PBE.
Peak positions follow from Bragg's law for the DFT cell and can differ from measured ones.

Most intense lines, 2θ = 10–90°, in order of falling intensity:
| 2θ (°) | I_rel |
| --- | --- |
| 40.1 | 100 |
| 41.7 | 68 |
| 35.9 | 44 |
| 44.6 | 42 |
| 41.2 | 33 |
| 76.1 | 25 |
| 40.7 | 24 |
| 37.6 | 22 |
| 36.5 | 22 |
| 62.7 | 20 |

Structure:
Cell lengths 5.150, 5.150, 10.116 Å; angles 90.00, 90.00, 146.02 degrees
Fractional positions:
Ti1 0.000 0.000 0.000
Ti2 0.000 0.000 0.500
Ti3 0.276 0.724 0.619
Ti4 0.276 0.724 0.881
Ti5 0.449 0.551 0.250
Ti6 0.551 0.449 0.750
Ti7 0.724 0.276 0.119
Ti8 0.724 0.276 0.381
C1 0.102 0.898 0.250
C2 0.898 0.102 0.750
N1 0.363 0.637 0.065
N2 0.363 0.637 0.435
N3 0.637 0.363 0.565
N4 0.637 0.363 0.935